1.
Starting from the GGA-PBE geometry in Alexandria, the powder X-ray diffraction pattern of Pa2I2Br3 was computed for copper Kα.
Neutral-atom scattering factors, no anomalous dispersion.

Cell and atoms:
```
data_Pa2I2Br3
_cell_length_a 4.8483
_cell_length_b 4.0187
_cell_length_c 14.9027
_cell_angle_alpha 90.00
_cell_angle_beta 99.40
_cell_angle_gamma 90.00
_space_group_name_H-M_alt 'P 1 2/m 1'
_space_group_IT_number 10
_space_group_name_Hall '-P 2y'
loop_
_atom_site_label
_atom_site_fract_x
_atom_site_fract_y
_atom_site_fract_z
Pa1 0.0995 0.0000 0.1975
I1 0.4093 0.5000 0.8202
Br1 0.0000 0.0000 0.0000
Br2 0.1908 0.0000 0.3795
```

Principal peaks in the range 5 to 70 degrees two-theta, in order of rising 2θ:
- 6.0°, I = 72
- 12.0°, I = 65
- 29.0°, I = 100
- 30.4°, I = 32
- 32.7°, I = 28
- 44.8°, I = 43

=====

2.
Starting from the GGA-PBE geometry in Alexandria, the powder X-ray diffraction pattern of Pb3I4Br2 was computed for copper Kα.
Neutral-atom scattering factors, no anomalous dispersion.

Cell and atoms:
```
data_Pb3I4Br2
_cell_length_a 4.4252
_cell_length_b 4.4252
_cell_length_c 23.6654
_cell_angle_alpha 90.00
_cell_angle_beta 90.00
_cell_angle_gamma 120.00
_space_group_name_H-M_alt 'P -6 m 2'
_space_group_IT_number 187
_space_group_name_Hall 'P -6 2'
loop_
_atom_site_label
_atom_site_fract_x
_atom_site_fract_y
_atom_site_fract_z
Pb1 0.0000 0.0000 0.0000
Pb2 0.3333 0.6667 0.3191
I1 0.0000 0.0000 0.2322
I2 0.0000 0.0000 0.4061
Br1 0.3333 0.6667 0.0762
```

Principal peaks in the range 5 to 70 degrees two-theta, in order of rising 2θ:
- 11.2°, I = 66
- 23.2°, I = 49
- 25.8°, I = 23
- 30.0°, I = 100
- 38.4°, I = 37
- 40.8°, I = 44

=====

3.
Starting from the GGA-PBE geometry in Alexandria, the powder X-ray diffraction pattern of PbIBr5 was computed for copper Kα.
Neutral-atom scattering factors, no anomalous dispersion.

Cell and atoms:
```
data_PbIBr5
_cell_length_a 8.7467
_cell_length_b 8.7519
_cell_length_c 9.3582
_cell_angle_alpha 110.36
_cell_angle_beta 110.39
_cell_angle_gamma 91.01
_space_group_name_H-M_alt 'P 1'
_space_group_IT_number 1
_space_group_name_Hall 'P 1'
loop_
_atom_site_label
_atom_site_fract_x
_atom_site_fract_y
_atom_site_fract_z
Pb1 0.0000 0.0000 0.0000
Pb2 0.0432 0.9566 0.4997
I1 0.4330 0.5913 0.8117
I2 0.6351 0.3904 0.3118
Br1 0.1942 0.4015 0.8030
Br2 0.2153 0.8537 0.2716
Br3 0.2358 0.8852 0.7936
Br4 0.4278 0.5992 0.3059
Br5 0.4447 0.1522 0.3029
Br6 0.6411 0.3836 0.8055
Br7 0.6825 0.8095 0.7948
Br8 0.8537 0.6393 0.2947
Br9 0.8959 0.1708 0.7710
Br10 0.9282 0.1929 0.2935
```

Principal peaks in the range 5 to 70 degrees two-theta, in order of rising 2θ:
- 16.7°, I = 100
- 17.9°, I = 48
- 20.4°, I = 72
- 21.9°, I = 66
- 33.7°, I = 49
- 36.3°, I = 58

=====

4.
Starting from the GGA-PBE geometry in Alexandria, the powder X-ray diffraction pattern of Pb3IBr5 was computed for copper Kα.
Neutral-atom scattering factors, no anomalous dispersion.

Cell and atoms:
```
data_Pb3IBr5
_cell_length_a 13.9781
_cell_length_b 10.0901
_cell_length_c 11.3528
_cell_angle_alpha 90.00
_cell_angle_beta 113.84
_cell_angle_gamma 90.00
_space_group_name_H-M_alt 'C 1 2/m 1'
_space_group_IT_number 12
_space_group_name_Hall '-C 2y'
loop_
_atom_site_label
_atom_site_fract_x
_atom_site_fract_y
_atom_site_fract_z
Pb1 0.0000 0.0000 0.0000
Pb2 0.0000 0.0000 0.5000
Pb3 0.1511 0.5000 0.1747
Pb4 0.1699 0.5000 0.6670
I1 0.1144 0.0000 0.8079
Br1 0.0000 0.3046 0.5000
Br2 0.0822 0.5000 0.8811
Br3 0.1599 0.1975 0.1772
Br4 0.2304 0.0000 0.5283
```

Principal peaks in the range 5 to 70 degrees two-theta, in order of rising 2θ:
- 17.1°, I = 80
- 17.6°, I = 100
- 22.7°, I = 83
- 33.5°, I = 49
- 34.0°, I = 85
- 42.2°, I = 49